# 1
Theoretical XRD peak list of LaPr2Nd4Th for CuKα, from DFT lattice parameters and positions (GGA-PBE).
Intensities are scaled so that the largest is 100.

Crystal structure
```
LaPr2Nd4Th
1.0
6.3787 0.0000 0.0000
0.0000 3.6827 0.0000
-2.1527 0.0000 12.0348
La Pr Nd Th
1 2 4 1
direct
0.0000 0.0000 0.0000 La
0.5000 0.0000 0.5000 Pr
0.5000 0.5000 0.0000 Pr
0.2421 0.0000 0.7429 Nd
0.2460 0.5000 0.2526 Nd
0.7540 0.5000 0.7474 Nd
0.7579 0.0000 0.2571 Nd
0.0000 0.5000 0.5000 Th
```

Most intense lines, 10° ≤ 2θ ≤ 80°, low angle first:
d [Å]  Position (°2θ)  I_rel
3.008  29.71  100
2.605  34.43  51
1.842  49.49  36
1.571  58.78  36
1.569  58.85  7
1.504  61.68  12
1.303  72.55  4
1.301  72.68  2

# 2
Theoretical XRD peak list of LaPrNdTh2 for CuKα, from DFT lattice parameters and positions (GGA-PBE).
Intensities are scaled so that the largest is 100.

Crystal structure
```
LaPrNdTh2
1.0
3.3725 -8.0088 0.0000
3.3725 8.0088 0.0000
0.0000 0.0000 6.7678
La Pr Nd Th
2 2 2 4
direct
0.1481 0.8519 0.7500 La
0.8519 0.1481 0.2500 La
0.3467 0.6533 0.7500 Pr
0.6533 0.3467 0.2500 Pr
0.2848 0.7152 0.2500 Nd
0.7152 0.2848 0.7500 Nd
0.2534 0.2534 0.0000 Th
0.2534 0.2534 0.5000 Th
0.7466 0.7466 0.0000 Th
0.7466 0.7466 0.5000 Th
```

Most intense lines, 10° ≤ 2θ ≤ 80°, low angle first:
d [Å]  Position (°2θ)  I_rel
8.009  11.05  24
3.560  25.01  12
3.113  28.68  100
2.670  33.57  15
2.661  33.68  18
2.582  34.74  45
2.389  37.66  42
1.780  51.33  24

# 3
Theoretical XRD peak list of La2PrNdTl2 for CuKα, from DFT lattice parameters and positions (GGA-PBE).
Intensities are scaled so that the largest is 100.

Crystal structure
```
La2PrNdTl2
1.0
5.2740 0.0000 0.0000
0.0000 10.5469 0.0000
0.0000 0.0000 6.9611
La Pr Nd Tl
4 2 2 4
direct
0.0000 0.0572 0.0000 La
0.0000 0.9428 0.5000 La
0.5000 0.1790 0.2234 La
0.5000 0.8210 0.7234 La
0.5000 0.4566 0.8629 Pr
0.5000 0.5434 0.3629 Pr
0.0000 0.3076 0.5917 Nd
0.0000 0.6924 0.0917 Nd
0.0000 0.3779 0.1272 Tl
0.0000 0.6221 0.6272 Tl
0.5000 0.1392 0.7098 Tl
0.5000 0.8608 0.2098 Tl
```

Most intense lines, 10° ≤ 2θ ≤ 80°, low angle first:
d [Å]  Position (°2θ)  I_rel
3.138  28.44  24
2.925  30.56  100
2.905  30.78  86
2.801  31.96  78
2.697  33.22  54
2.637  34.00  72
2.473  36.32  25
1.432  65.16  23

# 4
Theoretical XRD peak list of LaPrNd2Tl2 for CuKα, from DFT lattice parameters and positions (GGA-PBE).
Intensities are scaled so that the largest is 100.

Crystal structure
```
LaPrNd2Tl2
1.0
5.4183 0.0000 0.0000
0.0000 10.2263 0.0000
0.0000 0.0000 6.9743
La Pr Nd Tl
2 2 4 4
direct
0.0000 0.0401 0.0000 La
0.0000 0.9599 0.5000 La
0.5000 0.1772 0.7271 Pr
0.5000 0.8228 0.2271 Pr
0.0000 0.3251 0.3317 Nd
0.0000 0.6749 0.8317 Nd
0.5000 0.4595 0.0541 Nd
0.5000 0.5405 0.5541 Nd
0.0000 0.3568 0.8074 Tl
0.0000 0.6432 0.3074 Tl
0.5000 0.1492 0.2516 Tl
0.5000 0.8508 0.7516 Tl
```

Most intense lines, 10° ≤ 2θ ≤ 80°, low angle first:
d [Å]  Position (°2θ)  I_rel
2.932  30.48  18
2.884  31.01  100
2.819  31.75  68
2.709  33.07  42
2.223  40.58  15
1.973  45.99  17
1.640  56.07  16
1.584  58.24  17

# 5
Theoretical XRD peak list of LaPr2NdTm4 for CuKα, from DFT lattice parameters and positions (GGA-PBE).
Intensities are scaled so that the largest is 100.

Crystal structure
```
LaPr2NdTm4
1.0
6.2487 -3.6095 0.0000
6.2487 3.6095 0.0000
-4.1631 0.0000 11.6223
La Pr Nd Tm
2 4 2 8
direct
0.0000 0.5000 0.0000 La
0.5000 0.0000 0.0000 La
0.0000 0.0000 0.0000 Pr
0.0000 0.0000 0.5000 Pr
0.0000 0.5000 0.5000 Pr
0.5000 0.0000 0.5000 Pr
0.5000 0.5000 0.0000 Nd
0.5000 0.5000 0.5000 Nd
0.2503 0.2503 0.2509 Tm
0.2498 0.2498 0.7492 Tm
0.2503 0.7503 0.2506 Tm
0.2497 0.7497 0.7494 Tm
0.7503 0.2503 0.2506 Tm
0.7497 0.2497 0.7494 Tm
0.7502 0.7502 0.2508 Tm
0.7497 0.7497 0.7491 Tm
```

Most intense lines, 10° ≤ 2θ ≤ 80°, low angle first:
d [Å]  Position (°2θ)  I_rel
2.942  30.38  100
2.906  30.77  32
2.540  35.34  67
1.804  50.59  24
1.788  51.10  24
1.538  60.16  14
1.533  60.39  29
1.522  60.84  14

# 6
Theoretical XRD peak list of La6PrNd2Tm for CuKα, from DFT lattice parameters and positions (GGA-PBE).
Intensities are scaled so that the largest is 100.

Crystal structure
```
La6PrNd2Tm
1.0
4.9687 -7.7102 0.0000
4.9687 7.7102 0.0000
-0.0320 0.0000 9.3212
La Pr Nd Tm
12 2 4 2
direct
0.0288 0.4654 0.8188 La
0.0781 0.7756 0.5922 La
0.2244 0.9219 0.9078 La
0.2817 0.5687 0.4053 La
0.4313 0.7183 0.0947 La
0.4654 0.0288 0.3188 La
0.5346 0.9712 0.6812 La
0.5687 0.2817 0.9053 La
0.7183 0.4313 0.5947 La
0.7756 0.0781 0.0922 La
0.9219 0.2244 0.4078 La
0.9712 0.5346 0.1812 La
0.0692 0.9308 0.2500 Pr
0.9308 0.0692 0.7500 Pr
0.2067 0.2964 0.0647 Nd
0.2964 0.2067 0.5647 Nd
0.7036 0.7933 0.4353 Nd
0.7933 0.7036 0.9353 Nd
0.4296 0.5704 0.7500 Tm
0.5704 0.4296 0.2500 Tm
```

Most intense lines, 10° ≤ 2θ ≤ 80°, low angle first:
d [Å]  Position (°2θ)  I_rel
3.261  27.35  64
3.110  28.70  83
3.060  29.19  74
3.046  29.32  52
2.895  30.88  100
2.882  31.03  91
2.809  31.86  55
2.486  36.13  28

# 7
Theoretical XRD peak list of LaPr2NdTm5 for CuKα, from DFT lattice parameters and positions (GGA-PBE).
Intensities are scaled so that the largest is 100.

Crystal structure
```
LaPr2NdTm5
1.0
-4.3536 4.3536 7.8108
4.3536 -4.3536 7.8108
4.3536 4.3536 -7.8108
La Pr Nd Tm
2 4 2 10
direct
0.2500 0.7500 0.5000 La
0.7500 0.2500 0.5000 La
0.1181 0.6181 0.7362 Pr
0.3819 0.1181 0.5000 Pr
0.6181 0.8819 0.5000 Pr
0.8819 0.3819 0.2638 Pr
0.2500 0.2500 0.0000 Nd
0.7500 0.7500 0.0000 Nd
0.0000 0.0000 0.0000 Tm
0.0720 0.1537 0.5000 Tm
0.1537 0.6537 0.0817 Tm
0.3463 0.4280 0.5000 Tm
0.4280 0.9280 0.0817 Tm
0.5000 0.5000 0.0000 Tm
0.5720 0.0720 0.9183 Tm
0.6537 0.5720 0.5000 Tm
0.8463 0.3463 0.9183 Tm
0.9280 0.8463 0.5000 Tm
```

Most intense lines, 10° ≤ 2θ ≤ 80°, low angle first:
d [Å]  Position (°2θ)  I_rel
3.118  28.63  48
3.078  29.00  50
2.907  30.76  100
2.753  32.52  14
2.387  37.69  16
2.094  43.20  19
1.742  52.52  22
1.650  55.72  19

# 8
Theoretical XRD peak list of La5PrNd2Tm for CuKα, from DFT lattice parameters and positions (GGA-PBE).
Intensities are scaled so that the largest is 100.

Crystal structure
```
La5PrNd2Tm
1.0
-4.5897 4.5897 7.7143
4.5897 -4.5897 7.7143
4.5897 4.5897 -7.7143
La Pr Nd Tm
10 2 4 2
direct
0.0000 0.0000 0.0000 La
0.0705 0.5705 0.9207 La
0.1498 0.0705 0.5000 La
0.3502 0.8502 0.9207 La
0.4295 0.3502 0.5000 La
0.5000 0.5000 0.0000 La
0.5705 0.6498 0.5000 La
0.6498 0.1498 0.0793 La
0.8502 0.9295 0.5000 La
0.9295 0.4295 0.0793 La
0.2500 0.2500 0.0000 Pr
0.7500 0.7500 0.0000 Pr
0.1143 0.3857 0.5000 Nd
0.3857 0.8857 0.2714 Nd
0.6143 0.1143 0.7286 Nd
0.8857 0.6143 0.5000 Nd
0.2500 0.7500 0.5000 Tm
0.7500 0.2500 0.5000 Tm
```

Most intense lines, 10° ≤ 2θ ≤ 80°, low angle first:
d [Å]  Position (°2θ)  I_rel
3.245  27.48  56
3.208  27.81  48
2.953  30.27  100
2.717  32.97  13
2.512  35.75  19
2.201  41.00  24
1.927  47.16  18
1.812  50.36  24

# 9
Theoretical XRD peak list of La2Pr6NdY3 for CuKα, from DFT lattice parameters and positions (GGA-PBE).
Intensities are scaled so that the largest is 100.

Crystal structure
```
La2Pr6NdY3
1.0
3.1952 -5.5387 0.0000
3.1952 5.5387 0.0000
-2.1319 0.0000 11.9605
La Pr Nd Y
2 6 1 3
direct
0.1665 0.8335 0.0000 La
0.8335 0.1665 0.0000 La
0.0819 0.4150 0.7453 Pr
0.2518 0.2518 0.2546 Pr
0.4150 0.0819 0.7453 Pr
0.5850 0.9181 0.2547 Pr
0.7482 0.7482 0.7454 Pr
0.9181 0.5850 0.2547 Pr
0.5000 0.5000 0.0000 Nd
0.0000 0.0000 0.5000 Y
0.3334 0.6666 0.5000 Y
0.6666 0.3334 0.5000 Y
```

Most intense lines, 10° ≤ 2θ ≤ 80°, low angle first:
d [Å]  Position (°2θ)  I_rel
3.011  29.67  100
2.990  29.88  32
2.603  34.45  67
1.845  49.38  24
1.836  49.66  23
1.573  58.67  14
1.570  58.80  28
1.564  59.04  14

# 10
Theoretical XRD peak list of La2Pr2Nd4Y for CuKα, from DFT lattice parameters and positions (GGA-PBE).
Intensities are scaled so that the largest is 100.

Crystal structure
```
La2Pr2Nd4Y
1.0
9.6570 -1.8622 0.0000
9.6570 1.8622 0.0000
-4.2842 0.0000 8.9358
La Pr Nd Y
2 2 4 1
direct
0.1656 0.1656 0.9999 La
0.8344 0.8344 0.0001 La
0.3524 0.3524 0.3327 Pr
0.6476 0.6476 0.6673 Pr
0.0186 0.0186 0.3305 Nd
0.3151 0.3151 0.6665 Nd
0.6849 0.6849 0.3335 Nd
0.9814 0.9814 0.6695 Nd
0.5000 0.5000 0.0000 Y
```

Most intense lines, 10° ≤ 2θ ≤ 80°, low angle first:
d [Å]  Position (°2θ)  I_rel
3.199  27.89  32
3.133  28.49  23
2.979  30.00  51
2.904  30.79  100
2.762  32.42  85
1.860  48.96  39
1.737  52.70  23
1.577  58.52  30

# 11
Theoretical XRD peak list of LaNdPt2 for CuKα, from DFT lattice parameters and positions (GGA-PBE).
Intensities are scaled so that the largest is 100.

Crystal structure
```
LaNdPt2
1.0
2.0834 1.2028 7.1870
-2.0834 1.2028 7.1870
0.0000 -2.4057 7.1870
La Nd Pt
1 1 2
direct
0.0000 0.0000 0.0000 La
0.1724 0.1724 0.1724 Nd
0.5861 0.5861 0.5861 Pt
0.7524 0.7524 0.7524 Pt
```

Most intense lines, 10° ≤ 2θ ≤ 80°, low angle first:
d [Å]  Position (°2θ)  I_rel
3.559  25.02  17
3.422  26.04  45
2.767  32.35  100
2.343  38.42  57
2.083  43.44  61
1.664  55.18  22
1.361  69.02  33
1.300  72.72  20

# 12
Theoretical XRD peak list of LaNd2Pt for CuKα, from DFT lattice parameters and positions (GGA-PBE).
Intensities are scaled so that the largest is 100.

Crystal structure
```
LaNd2Pt
1.0
7.2956 0.0000 0.0000
0.0000 10.1231 0.0000
0.0000 0.0000 6.7290
La Nd Pt
4 8 4
direct
0.0275 0.2500 0.1414 La
0.4725 0.7500 0.6414 La
0.5275 0.2500 0.3586 La
0.9725 0.7500 0.8586 La
0.1760 0.0625 0.6712 Nd
0.1760 0.4375 0.6712 Nd
0.3240 0.5625 0.1712 Nd
0.3240 0.9375 0.1712 Nd
0.6760 0.0625 0.8288 Nd
0.6760 0.4375 0.8288 Nd
0.8240 0.5625 0.3288 Nd
0.8240 0.9375 0.3288 Nd
0.1201 0.7500 0.4347 Pt
0.3799 0.2500 0.9347 Pt
0.6201 0.7500 0.0653 Pt
0.8799 0.2500 0.5653 Pt
```

Most intense lines, 10° ≤ 2θ ≤ 80°, low angle first:
d [Å]  Position (°2θ)  I_rel
3.057  29.22  50
3.016  29.62  50
2.925  30.56  100
2.788  32.11  72
2.709  33.07  70
2.616  34.28  50
2.477  36.27  56
1.688  54.37  48

# 13
Theoretical XRD peak list of LaNdPt for CuKα, from DFT lattice parameters and positions (GGA-PBE).
Intensities are scaled so that the largest is 100.

Crystal structure
```
LaNdPt
1.0
6.8296 0.0000 0.0000
0.0000 7.4500 0.0000
-0.7959 0.0000 7.2454
La Nd Pt
4 4 4
direct
0.0749 0.2400 0.0032 La
0.0749 0.2600 0.5032 La
0.9251 0.7400 0.4968 La
0.9251 0.7600 0.9968 La
0.4075 0.6113 0.2213 Nd
0.4075 0.8887 0.7213 Nd
0.5925 0.1113 0.2787 Nd
0.5925 0.3887 0.7787 Nd
0.2068 0.5533 0.8035 Pt
0.2068 0.9467 0.3035 Pt
0.7932 0.0533 0.6965 Pt
0.7932 0.4467 0.1965 Pt
```

Most intense lines, 10° ≤ 2θ ≤ 80°, low angle first:
d [Å]  Position (°2θ)  I_rel
4.290  20.70  56
3.059  29.19  100
3.038  29.40  80
2.949  30.31  97
2.831  31.61  62
2.597  34.54  94
2.332  38.60  74
2.019  44.90  60